No. 1
Diffraction record for MgTeW3O12. The X-ray diffraction stick pattern is computed, not measured: it uses a PBE+U-relaxed structure and Cu Kα.
Peak positions follow from Bragg's law for the DFT cell and can differ from measured ones.

Cell and atoms:
Cell: 5.197 5.741 7.837 Å, 82.90 89.42 89.61°
Element x y z (fractional)
Mg 0.000 0.000 0.000
Te 0.019 0.425 0.227
W 0.008 0.433 0.700
W 0.499 0.921 0.713
W 0.510 0.885 0.234
O 0.107 0.339 0.923
O 0.194 0.021 0.234
O 0.235 0.676 0.652
O 0.292 0.174 0.642
O 0.354 0.567 0.255
O 0.369 0.873 0.936
O 0.603 0.902 0.458
O 0.688 0.135 0.124
O 0.730 0.618 0.750
O 0.795 0.089 0.759
O 0.830 0.710 0.139
O 0.898 0.418 0.464

Peak list (10 most intense, 2θ = 10–80°, most intense first)
two_theta, I_rel
22.87, 100
23.10, 99
23.23, 98
31.18, 43
31.52, 41
31.40, 40
34.53, 30
34.09, 27
34.23, 27
41.59, 26

***

No. 2
Diffraction record for Na2LiMnPCO7. The X-ray diffraction stick pattern is computed, not measured: it uses a PBE+U-relaxed structure and Cu Kα.
Peak positions follow from Bragg's law for the DFT cell and can differ from measured ones.

Cell and atoms:
Cell: 6.784 8.858 10.226 Å, 89.31 89.95 89.92°
Element x y z (fractional)
Na 0.000 0.000 0.000
Na 0.000 0.486 0.252
Na 0.498 0.485 0.252
Na 0.498 0.488 0.751
Na 0.499 0.999 0.000
Na 0.746 0.826 0.255
Na 0.749 0.825 0.755
Na 0.999 0.997 0.501
Li 0.019 0.473 0.759
Li 0.246 0.651 0.999
Li 0.250 0.657 0.503
Li 0.522 0.014 0.492
Mn 0.252 0.102 0.760
Mn 0.252 0.104 0.268
Mn 0.752 0.386 0.491
Mn 0.753 0.383 0.984
P 0.250 0.337 0.021
P 0.250 0.337 0.527
P 0.750 0.153 0.231
P 0.751 0.154 0.725
C 0.243 0.788 0.742
C 0.250 0.795 0.242
C 0.742 0.688 0.508
C 0.750 0.683 0.008
O 0.068 0.425 0.476
O 0.071 0.435 0.975
O 0.224 0.647 0.713
O 0.235 0.322 0.679
O 0.246 0.316 0.173
O 0.248 0.836 0.364
O 0.249 0.177 0.961
O 0.250 0.654 0.210
O 0.250 0.832 0.864
O 0.253 0.897 0.148
O 0.255 0.888 0.647
O 0.266 0.173 0.472
O 0.432 0.436 0.490
O 0.434 0.432 0.981
O 0.568 0.059 0.278
O 0.568 0.068 0.778
O 0.726 0.835 0.518
O 0.735 0.164 0.572
O 0.747 0.170 0.078
O 0.749 0.313 0.289
O 0.749 0.621 0.894
O 0.749 0.625 0.395
O 0.750 0.829 0.018
O 0.752 0.597 0.112
O 0.753 0.604 0.613
O 0.767 0.317 0.778
O 0.935 0.057 0.763
O 0.936 0.061 0.272

Peak list (10 most intense, 2θ = 10–80°, most intense first)
two_theta, I_rel
26.28, 100
33.23, 64
35.11, 60
33.32, 53
49.14, 42
26.47, 33
54.08, 29
19.95, 26
37.77, 25
20.16, 23

***

No. 3
Diffraction record for NaCo2H3S2O10. The X-ray diffraction stick pattern is computed, not measured: it uses a PBE+U-relaxed structure and Cu Kα.
Peak positions follow from Bragg's law for the DFT cell and can differ from measured ones.

Cell and atoms:
Cell: 5.425 5.425 7.460 Å, 110.63 110.63 72.46°
Element x y z (fractional)
Na 0.000 0.000 0.000
Co 0.495 0.999 0.501
Co 0.999 0.495 0.501
H 0.189 0.189 0.727
H 0.800 0.800 0.267
H 0.985 0.985 0.490
S 0.404 0.404 0.205
S 0.594 0.594 0.795
O 0.150 0.150 0.581
O 0.278 0.278 0.997
O 0.294 0.678 0.747
O 0.308 0.308 0.334
O 0.320 0.704 0.252
O 0.678 0.294 0.747
O 0.691 0.691 0.667
O 0.704 0.320 0.252
O 0.720 0.720 0.003
O 0.841 0.841 0.414

Peak list (10 most intense, 2θ = 10–80°, most intense first)
two_theta, I_rel
30.93, 100
13.19, 74
34.86, 60
26.32, 59
27.67, 41
38.67, 31
54.84, 25
17.84, 25
54.71, 22
42.34, 19

***

No. 4
Diffraction record for Li2MnF4. The X-ray diffraction stick pattern is computed, not measured: it uses a PBE+U-relaxed structure and Cu Kα.
Peak positions follow from Bragg's law for the DFT cell and can differ from measured ones.

Cell and atoms:
Cell: 5.929 5.929 5.434 Å, 93.07 93.07 58.39°
Element x y z (fractional)
Li 0.053 0.351 0.283
Li 0.351 0.053 0.783
Li 0.649 0.947 0.217
Li 0.947 0.649 0.717
Mn 0.339 0.661 0.250
Mn 0.661 0.339 0.750
F 0.017 0.281 0.618
F 0.270 0.501 0.912
F 0.281 0.017 0.118
F 0.499 0.730 0.588
F 0.501 0.270 0.412
F 0.719 0.983 0.882
F 0.730 0.499 0.088
F 0.983 0.719 0.382

Peak list (10 most intense, 2θ = 10–80°, most intense first)
two_theta, I_rel
38.91, 100
17.57, 82
24.45, 78
38.42, 60
17.17, 58
23.72, 58
33.73, 39
51.03, 38
30.20, 33
60.38, 30